This entry pairs a crystal structure of LiEuW2O8 with its computed powder XRD pattern. Radiation: Cu Kα (λ = 1.5418 Å). Structure: a GGA+U-relaxed structure.
Kinematic intensities with the Lorentz-polarization factor, no thermal factor.

Structural model:
a b c (Å): 5.082 6.151 11.172
angles (deg): 90.00 113.98 90.00
Space group P2/c (No. 13)
Inequivalent atoms, fractional coordinates:
Li 0.000 0.235 0.250 [2 per cell]
Eu 0.500 0.338 0.750 [2 per cell]
W 0.264 0.165 0.014 [4 per cell]
O 0.152 0.108 0.595 [4 per cell]
O 0.227 0.348 0.135 [4 per cell]
O 0.282 0.363 0.895 [4 per cell]
O 0.342 0.085 0.392 [4 per cell]

Largest 12 diffraction maxima, by angle, 5° ≤ 2θ ≤ 70°:
hkl  d [Å]  Rel. int.
0 0 2  5.104  39
1 0 0  4.643  20
1 0 -2  4.451  18
0 1 2  3.923  96
1 1 1  3.169  100
1 1 -3  3.047  84
1 2 -1  2.630  49
0 0 4  2.552  20
2 0 -2  2.537  28
0 3 2  1.902  31
1 2 3  1.857  22
1 2 -5  1.807  26